Pr3TeIrN: theoretical XRD peak list (Cu Kα), based on a structure optimized by DFT (PBE).
Kinematic intensities with the Lorentz-polarization factor, no thermal factor.

Top 8 peaks for 10° ≤ 2θ ≤ 80°, by angle:
2θ (°)  d (Å)  Rel. int.  hkl
12.0  7.355  69  1 0 -1
28.5  3.136  70  0 0 3
29.1  3.064  55  2 1 0
29.3  3.050  100  2 1 -1
37.3  2.408  53  2 1 2
43.2  2.092  30  0 2 0
45.0  2.016  30  2 1 -4
52.6  1.740  25  0 2 3

Atomic structure:
Unit cell a=9.2195 b=4.1841 c=9.6417 alpha=90.00 beta=102.62 gamma=90.00
Space group P2_1/m (No. 11)
Asymmetric unit:
1 Pr 0.0735 0.2500 0.3667
2 Pr 0.3399 0.2500 0.9873
3 Pr 0.3714 0.7500 0.6581
4 Te 0.3258 0.7500 0.2833
5 Ir 0.1514 0.2500 0.6633
6 N 0.4119 0.7500 0.8996